This entry pairs a crystal structure of Li2Mn3CoO8 with its calculated X-ray diffraction stick pattern. Radiation: copper Kα. Structure: a DFT-relaxed cell (GGA+U, the Materials Project).
Peak positions follow from Bragg's law for the DFT cell and can differ from measured ones.

Peak list (12 most intense, 2θ from 5° to 70°, in order of rising 2θ)
index  two_theta  intensity
1 0 1  18.29  1000
0 1 1  18.50  870
0 2 0  35.32  237
2 0 0  35.52  154
1 0 -3  35.81  228
1 2 3  36.12  139
0 0 4  37.50  102
0 2 -2  42.69  351
2 0 -2  43.40  337
2 2 4  43.86  328
2 -2 0  62.61  102
2 4 2  62.78  198

```
Li2Mn3CoO8
1.0
5.917 0.000 0.000
2.949 5.140 0.000
2.851 1.453 9.591
Li Mn Co O
4 6 2 16
direct
0.000 0.000 0.000
0.122 0.158 0.614
0.491 0.507 0.497
0.632 0.651 0.117
0.061 0.579 0.307
0.061 0.581 0.806
0.317 0.321 0.058
0.561 0.079 0.307
0.561 0.079 0.807
0.806 0.837 0.556
0.061 0.079 0.307
0.562 0.579 0.807
0.143 0.714 0.432
0.203 0.227 0.410
0.203 0.655 0.933
0.227 0.191 0.935
0.420 0.432 0.191
0.432 0.436 0.705
0.434 0.992 0.182
0.467 0.943 0.686
0.655 0.214 0.927
0.688 0.166 0.431
0.690 0.722 0.909
0.703 0.726 0.423
0.896 0.967 0.678
0.918 0.502 0.680
0.920 0.931 0.204
0.978 0.444 0.182
```